Starting from a GGA-PBE-relaxed structure, the X-ray diffraction stick pattern of BaLaCrN4 was computed for copper Kα.
Lines closer than 0.1° are merged.

Peak list (10 most intense, 10° ≤ 2θ ≤ 90°, in order of falling intensity)
d_spacing, 2θ/deg, I/Imax
4.080, 21.8, 100
3.050, 29.3, 60
2.880, 31.1, 59
3.028, 29.5, 53
2.890, 30.9, 40
2.040, 44.4, 39
2.422, 37.1, 39
2.456, 36.6, 37
3.970, 22.4, 21
2.670, 33.6, 20

Cell and atoms:
Unit cell a=6.048 b=5.760 c=7.526 alpha=90.00 beta=107.15 gamma=90.00
Positions (direct):
Ba1 0.215 0.250 0.425
Ba2 0.785 0.750 0.575
La1 0.278 0.250 0.947
La2 0.722 0.750 0.053
Cr1 0.267 0.750 0.182
Cr2 0.733 0.250 0.818
N1 0.081 0.750 0.323
N2 0.093 0.750 0.956
N3 0.450 0.511 0.214
N4 0.450 0.989 0.214
N5 0.550 0.011 0.786
N6 0.550 0.489 0.786
N7 0.907 0.250 0.044
N8 0.919 0.250 0.677